Computed powder X-ray diffraction pattern of Pm2TmTh4 for Cu Ka, from a PBE-relaxed structure.
Lines closer than 0.1° are merged.

Peak list (10 most intense, 2θ = 15–90°, low angle first)
2θ/deg  I/Imax  hkl
29.0  33.8  0 6 1
30.4  100.0  1 7 0
31.9  65.0  0 8 1
34.7  30.1  0 14 0
35.6  67.7  1 1 1
51.1  25.4  2 0 0
52.4  41.4  1 15 1
60.6  29.1  1 7 2
61.5  20.5  2 8 1
63.2  21.8  2 14 0

Cell and atoms:
abc: 3.5733 36.2375 3.5757
angles: 90.00 90.00 90.00
Element x y z (fractional)
Pm1 0.0000 0.2060 0.0000
Pm2 0.0000 0.7940 0.0000
Pm3 0.5000 0.2940 0.0000
Pm4 0.5000 0.7060 0.0000
Tm1 0.0000 0.5000 0.5000
Tm2 0.5000 0.0000 0.5000
Th1 0.0000 0.0695 0.0000
Th2 0.0000 0.3630 0.5000
Th3 0.0000 0.6370 0.5000
Th4 0.0000 0.9305 0.0000
Th5 0.5000 0.1370 0.5000
Th6 0.5000 0.4305 0.0000
Th7 0.5000 0.5695 0.0000
Th8 0.5000 0.8630 0.5000